No. 1
Structure and calculated powder diffractogram of La5Mg4In4 (a PBE-relaxed structure; a wavelength of 1.5418 Å).
Neutral-atom scattering factors, no anomalous dispersion.

Main lines, low angle first (2θ = 10–80°):
d/Å	Rel. int.
3.652	45.2
3.170	100.0
3.007	23.4
2.853	46.8
2.839	87.8
2.593	60.4
2.502	32.4
2.377	38.5
1.826	25.2
1.502	26.2

Atomic structure:
Unit cell a=12.759 b=12.759 c=4.754 alpha=90.00 beta=90.00 gamma=90.00
Space group I4/m (No. 87)
Symmetry-distinct sites (fractional):
La1 0.000 0.000 0.000 (multiplicity 2)
La2 0.133 0.204 0.500 (multiplicity 8)
Mg1 0.076 0.604 0.500 (multiplicity 8)
In1 0.055 0.745 0.000 (multiplicity 8)


No. 2
Structure and calculated powder diffractogram of La2MnIn (a PBE-relaxed structure; a wavelength of 1.5418 Å).
Neutral-atom scattering factors, no anomalous dispersion.

Main lines, low angle first (2θ = 10–80°):
d/Å	Rel. int.
3.263	33.9
3.011	20.3
2.766	100.0
2.474	53.3
2.283	17.6
1.912	22.0
1.750	18.4
1.605	13.0
1.513	10.3
1.479	28.4

Atomic structure:
Unit cell a=3.499 b=3.499 c=9.034 alpha=90.00 beta=90.00 gamma=90.00
Space group P4mm (No. 99)
Symmetry-distinct sites (fractional):
La1 0.000 0.000 0.000 (multiplicity 1)
La2 0.500 0.500 0.346 (multiplicity 1)
Mn1 0.000 0.000 0.571 (multiplicity 1)
In1 0.500 0.500 0.738 (multiplicity 1)


No. 3
Structure and calculated powder diffractogram of La12PmIn4N3 (a PBE-relaxed structure; a wavelength of 1.5418 Å).
Neutral-atom scattering factors, no anomalous dispersion.

Main lines, low angle first (2θ = 10–80°):
d/Å	Rel. int.
5.224	6.7
3.304	4.8
3.016	100.0
2.792	7.0
2.612	72.3
2.227	5.5
1.847	49.0
1.575	38.9
1.508	15.9
1.306	7.1

Atomic structure:
Unit cell a=10.448 b=10.448 c=10.448 alpha=90.00 beta=90.00 gamma=90.00
Space group Im-3m (No. 229)
Symmetry-distinct sites (fractional):
La1 0.000 0.000 0.275 (multiplicity 12)
La2 0.000 0.250 0.500 (multiplicity 12)
Pm1 0.000 0.000 0.000 (multiplicity 2)
In1 0.250 0.250 0.250 (multiplicity 8)
N1 0.000 0.000 0.500 (multiplicity 6)


No. 4
Structure and calculated powder diffractogram of La12PrIn4N3 (a PBE-relaxed structure; a wavelength of 1.5418 Å).
Neutral-atom scattering factors, no anomalous dispersion.

Main lines, low angle first (2θ = 10–80°):
d/Å	Rel. int.
5.238	6.5
3.024	100.0
2.800	7.0
2.619	71.6
2.234	5.8
1.852	48.3
1.579	38.6
1.512	15.6
1.310	6.9
1.202	13.8

Atomic structure:
Unit cell a=10.476 b=10.476 c=10.476 alpha=90.00 beta=90.00 gamma=90.00
Space group Im-3m (No. 229)
Symmetry-distinct sites (fractional):
La1 0.000 0.000 0.276 (multiplicity 12)
La2 0.000 0.250 0.500 (multiplicity 12)
Pr1 0.000 0.000 0.000 (multiplicity 2)
In1 0.250 0.250 0.250 (multiplicity 8)
N1 0.000 0.000 0.500 (multiplicity 6)


No. 5
Structure and calculated powder diffractogram of La2SmInN (a PBE-relaxed structure; a wavelength of 1.5418 Å).
Neutral-atom scattering factors, no anomalous dispersion.

Main lines, low angle first (2θ = 10–80°):
d/Å	Rel. int.
2.935	100.0
2.558	38.0
2.510	18.0
1.809	13.3
1.791	25.9
1.540	29.0
1.519	13.8
1.467	13.3
1.279	4.2
1.255	2.0

Atomic structure:
Unit cell a=5.116 b=5.116 c=5.019 alpha=90.00 beta=90.00 gamma=90.00
Space group P4/mmm (No. 123)
Symmetry-distinct sites (fractional):
La1 0.000 0.500 0.000 (multiplicity 2)
Sm1 0.000 0.000 0.500 (multiplicity 1)
In1 0.500 0.500 0.500 (multiplicity 1)
N1 0.000 0.000 0.000 (multiplicity 1)


No. 6
Structure and calculated powder diffractogram of La4InSnN (a PBE-relaxed structure; a wavelength of 1.5418 Å).
Neutral-atom scattering factors, no anomalous dispersion.

Main lines, low angle first (2θ = 10–80°):
d/Å	Rel. int.
3.531	16.6
3.266	82.4
2.862	34.1
2.727	100.0
2.497	65.8
1.881	40.1
1.766	23.0
1.553	18.7
1.503	19.1
1.482	31.3

Atomic structure:
Unit cell a=7.056 b=17.170 c=7.068 alpha=90.00 beta=90.00 gamma=90.00
Space group Cmcm (No. 63)
Symmetry-distinct sites (fractional):
La1 0.000 0.078 0.250 (multiplicity 4)
La2 0.000 0.413 0.250 (multiplicity 4)
La3 0.250 0.250 0.000 (multiplicity 8)
In1 0.000 0.388 0.750 (multiplicity 4)
Sn1 0.000 0.111 0.750 (multiplicity 4)
N1 0.000 0.268 0.250 (multiplicity 4)


No. 7
Structure and calculated powder diffractogram of NaLa5In6 (a PBE-relaxed structure; a wavelength of 1.5418 Å).
Neutral-atom scattering factors, no anomalous dispersion.

Main lines, low angle first (2θ = 10–80°):
d/Å	Rel. int.
2.778	100.0
2.765	20.0
1.970	7.2
1.960	14.3
1.605	21.9
1.603	7.2
1.599	14.8
1.389	11.0
1.245	6.1
1.241	5.9

Atomic structure:
Unit cell a=5.530 b=7.878 c=8.776 alpha=90.00 beta=108.29 gamma=90.00
Space group P2/m (No. 10)
Symmetry-distinct sites (fractional):
Na1 0.000 0.000 0.000 (multiplicity 1)
La1 0.000 0.500 0.000 (multiplicity 1)
La2 0.331 0.500 0.660 (multiplicity 2)
La3 0.340 0.000 0.678 (multiplicity 2)
In1 0.162 0.240 0.325 (multiplicity 4)
In2 0.500 0.248 0.000 (multiplicity 2)


No. 8
Structure and calculated powder diffractogram of NaLa4In5 (a PBE-relaxed structure; a wavelength of 1.5418 Å).
Neutral-atom scattering factors, no anomalous dispersion.

Main lines, low angle first (2θ = 10–80°):
d/Å	Rel. int.
3.061	10.3
2.805	100.0
2.661	47.5
2.105	8.1
1.881	16.9
1.756	7.0
1.651	14.8
1.562	33.2
1.403	8.5
1.202	6.9

Atomic structure:
Unit cell a=3.763 b=3.763 c=21.046 alpha=90.00 beta=90.00 gamma=90.00
Space group P4/mmm (No. 123)
Symmetry-distinct sites (fractional):
Na1 0.000 0.000 0.000 (multiplicity 1)
La1 0.000 0.000 0.187 (multiplicity 2)
La2 0.000 0.000 0.396 (multiplicity 2)
In1 0.500 0.500 0.086 (multiplicity 2)
In2 0.500 0.500 0.292 (multiplicity 2)
In3 0.500 0.500 0.500 (multiplicity 1)


No. 9
Structure and calculated powder diffractogram of Na2LaInS4 (a PBE-relaxed structure; a wavelength of 1.5418 Å).
Neutral-atom scattering factors, no anomalous dispersion.

Main lines, low angle first (2θ = 10–80°):
d/Å	Rel. int.
6.765	50.2
6.487	48.1
3.515	22.1
3.382	24.0
3.243	20.5
2.875	51.6
2.863	100.0
2.091	18.3
2.029	70.5
1.691	18.1

Atomic structure:
Unit cell a=7.855 b=8.365 c=11.500 alpha=90.00 beta=90.00 gamma=90.00
Space group Imma (No. 74)
Symmetry-distinct sites (fractional):
Na1 0.000 0.000 0.000 (multiplicity 4)
Na2 0.250 0.250 0.250 (multiplicity 4)
La1 0.000 0.000 0.500 (multiplicity 4)
In1 0.250 0.250 0.750 (multiplicity 4)
S1 0.000 0.031 0.752 (multiplicity 8)
S2 0.247 0.250 0.506 (multiplicity 8)


No. 10
Structure and calculated powder diffractogram of NaLaInSn (a PBE-relaxed structure; a wavelength of 1.5418 Å).
Neutral-atom scattering factors, no anomalous dispersion.

Main lines, low angle first (2θ = 10–80°):
d/Å	Rel. int.
2.791	100.0
2.523	18.9
2.403	16.5
2.336	15.2
1.740	12.3
1.714	11.7
1.503	15.1
1.451	13.4
1.422	12.5
1.396	11.7

Atomic structure:
Unit cell a=4.672 b=4.807 c=5.046 alpha=90.00 beta=90.00 gamma=90.00
Space group Pmmm (No. 47)
Symmetry-distinct sites (fractional):
Na1 0.000 0.000 0.000 (multiplicity 1)
La1 0.000 0.500 0.500 (multiplicity 1)
In1 0.500 0.500 0.000 (multiplicity 1)
Sn1 0.500 0.000 0.500 (multiplicity 1)


No. 11
Structure and calculated powder diffractogram of La2Nd4In (a PBE-relaxed structure; a wavelength of 1.5418 Å).
Neutral-atom scattering factors, no anomalous dispersion.

Main lines, low angle first (2θ = 10–80°):
d/Å	Rel. int.
3.805	9.0
2.843	100.0
2.831	27.3
2.758	13.2
2.727	17.8
2.656	27.2
2.138	8.6
1.913	9.0
1.903	12.4
1.567	21.1

Atomic structure:
Unit cell a=8.551 b=10.908 c=10.625 alpha=90.00 beta=90.00 gamma=90.00
Space group Cccm (No. 66)
Symmetry-distinct sites (fractional):
La1 0.001 0.196 0.000 (multiplicity 8)
Nd1 0.196 0.500 0.000 (multiplicity 8)
Nd2 0.250 0.250 0.250 (multiplicity 8)
In1 0.000 0.000 0.250 (multiplicity 4)


No. 12
Structure and calculated powder diffractogram of La8Nd6In (a PBE-relaxed structure; a wavelength of 1.5418 Å).
Neutral-atom scattering factors, no anomalous dispersion.

Main lines, low angle first (2θ = 10–80°):
d/Å	Rel. int.
3.520	19.8
3.151	21.6
3.106	28.8
2.827	100.0
2.770	43.1
2.739	11.0
1.817	14.0
1.793	16.1
1.610	9.1
1.514	11.3

Atomic structure:
Unit cell a=9.4884 b=9.4884 c=6.8225 alpha=90.00 beta=90.00 gamma=120.00
Space group P-3 (No. 147)
Symmetry-distinct sites (fractional):
La1 0.0452 0.7707 0.1738 (multiplicity 6)
La2 0.3333 0.6667 0.1234 (multiplicity 2)
Nd1 0.0940 0.6545 0.6577 (multiplicity 6)
In1 0.0000 0.0000 0.5000 (multiplicity 1)


No. 13
Structure and calculated powder diffractogram of La12Nd3In (a PBE-relaxed structure; a wavelength of 1.5418 Å).
Neutral-atom scattering factors, no anomalous dispersion.

Main lines, low angle first (2θ = 10–80°):
d/Å	Rel. int.
3.007	100.0
2.627	16.9
2.592	33.5
1.845	23.8
1.833	12.0
1.580	13.9
1.565	28.5
1.503	12.1
1.314	1.8
1.296	3.8

Atomic structure:
Unit cell a=5.184 b=5.184 c=21.018 alpha=90.00 beta=90.00 gamma=90.00
Space group P4/mmm (No. 123)
Symmetry-distinct sites (fractional):
La1 0.000 0.000 0.000 (multiplicity 1)
La2 0.000 0.000 0.248 (multiplicity 2)
La3 0.000 0.000 0.500 (multiplicity 1)
La4 0.000 0.500 0.120 (multiplicity 4)
La5 0.000 0.500 0.373 (multiplicity 4)
Nd1 0.500 0.500 0.247 (multiplicity 2)
Nd2 0.500 0.500 0.500 (multiplicity 1)
In1 0.500 0.500 0.000 (multiplicity 1)